Theoretical powder diffraction line list
Compound: Li4MnV3P4O16
Radiation: Cu Kα
Structure: a structure optimized by DFT (GGA+U)

Top 6 peaks for 2θ = 5–70°, by angle:
2theta  d_spacing  intensity
20.40  4.353  56
22.21  4.002  30
25.08  3.551  75
29.04  3.074  71
34.89  2.572  100
51.45  1.776  40

Unit cell a=4.7793 b=6.1504 c=10.5418 alpha=90.00 beta=90.01 gamma=90.00
Space group Pm (No. 6)
Symmetry-distinct sites (fractional):
1 Li 0.0000 0.2492 0.0000
2 Li 0.4994 0.2511 0.4994
3 Mn 0.9777 0.0000 0.7205
4 V 0.0170 0.5000 0.2757
5 V 0.4823 0.5000 0.7775
6 V 0.5179 0.0000 0.2241
7 P 0.0861 0.0000 0.4061
8 P 0.4148 0.0000 0.9090
9 P 0.5853 0.5000 0.0936
10 P 0.9146 0.5000 0.5932
11 O 0.2080 0.0000 0.5429
12 O 0.2207 0.2013 0.3369
13 O 0.2367 0.5000 0.5973
14 O 0.2634 0.5000 0.0974
15 O 0.2814 0.2009 0.8392
16 O 0.2921 0.0000 0.0456
17 O 0.7065 0.5000 0.9569
18 O 0.7207 0.2991 0.1633
19 O 0.7371 0.0000 0.9048
20 O 0.7640 0.0000 0.4036
21 O 0.7795 0.2994 0.6632
22 O 0.7942 0.5000 0.4565